# 1
DyPaPbC: theoretical X-ray diffraction stick pattern (λ = 1.5418 Å (Cu Kα)), based on a crystal structure in Alexandria, relaxed with PBE.
Peak positions follow from Bragg's law for the DFT cell and can differ from measured ones.

Structure:
Lattice parameters (Å, degrees): 9.049 9.049 9.049 22.32 22.32 22.32
Sites, in units of the cell vectors:
Dy  0.000  0.000  0.000
Pa  0.439  0.439  0.439
Pb  0.562  0.562  0.562
C  0.722  0.722  0.722

Largest 12 diffraction maxima, in order of rising 2θ, 2θ from 10° to 90°:
Position (°2θ)	I_rel
29.64	29
30.23	100
30.40	48
34.07	33
38.04	82
40.34	16
48.29	17
52.23	38
57.45	16
61.62	55
64.14	20
66.42	16

---

# 2
VSb2Br: theoretical X-ray diffraction stick pattern (λ = 1.5418 Å (Cu Kα)), based on a crystal structure in Alexandria, relaxed with PBE.
Peak positions follow from Bragg's law for the DFT cell and can differ from measured ones.

Structure:
Lattice parameters (Å, degrees): 8.563 8.563 8.563 138.19 138.19 60.61
Sites, in units of the cell vectors:
V  0.000  0.000  0.000
V  0.750  0.250  0.500
Sb  0.025  0.625  0.900
Sb  0.375  0.275  0.400
Sb  0.725  0.125  0.100
Sb  0.875  0.975  0.600
Br  0.250  0.750  0.500
Br  0.500  0.500  0.000

Largest 12 diffraction maxima, in order of rising 2θ, 2θ from 10° to 90°:
Position (°2θ)	I_rel
15.69	12
23.19	17
23.85	100
33.35	33
37.64	17
38.22	43
41.82	8
42.22	21
45.18	10
48.71	10
49.31	8
57.51	10

---

Repeat the second record exactly.
VSb2Br: theoretical X-ray diffraction stick pattern (λ = 1.5418 Å (Cu Kα)), based on a crystal structure in Alexandria, relaxed with PBE.
Peak positions follow from Bragg's law for the DFT cell and can differ from measured ones.

Structure:
Lattice parameters (Å, degrees): 8.563 8.563 8.563 138.19 138.19 60.61
Sites, in units of the cell vectors:
V  0.000  0.000  0.000
V  0.750  0.250  0.500
Sb  0.025  0.625  0.900
Sb  0.375  0.275  0.400
Sb  0.725  0.125  0.100
Sb  0.875  0.975  0.600
Br  0.250  0.750  0.500
Br  0.500  0.500  0.000

Largest 12 diffraction maxima, in order of rising 2θ, 2θ from 10° to 90°:
Position (°2θ)	I_rel
15.69	12
23.19	17
23.85	100
33.35	33
37.64	17
38.22	43
41.82	8
42.22	21
45.18	10
48.71	10
49.31	8
57.51	10